Diffraction record for CeCrAsO5. The XRD peak list is calculated, not measured: it uses a cell relaxed with PBE+U and Cu Ka.
No peak broadening, texture or thermal motion is included.

Principal peaks in the range 2θ from 10° to 80°, most intense first:
2θ/deg	I (rel.)
29.22	100
30.17	73
24.88	71
16.99	56
29.39	50
36.06	35

Structure:
abc: 6.0125 6.0125 8.0528
angles: 99.65 99.65 115.66
Element x y z (fractional)
Ce 0.0000 0.0000 0.0000
Ce 0.0000 0.0000 0.5000
Cr 0.2943 0.7057 0.7500
Cr 0.7057 0.2943 0.2500
As 0.3045 0.6955 0.2500
As 0.6955 0.3045 0.7500
O 0.0310 0.6432 0.3249
O 0.0971 0.9029 0.7500
O 0.2525 0.4561 0.0760
O 0.3568 0.9690 0.1751
O 0.4561 0.2525 0.5760
O 0.5439 0.7475 0.4240
O 0.6432 0.0310 0.8249
O 0.7475 0.5439 0.9240
O 0.9029 0.0971 0.2500
O 0.9690 0.3568 0.6751